[1]
The following is a computed powder XRD pattern of Nd6Sm16Tm7. It was derived from a DFT-relaxed cell (PBE, Alexandria), using λ = 1.5418 Å (Cu Kα).
Neutral-atom scattering factors, no anomalous dispersion.

Principal peaks in the range 10° ≤ 2θ ≤ 90°, by intensity:
(hkl)  Position (°2θ)  intensity
4 4 0  31.84  100
3 3 3  29.19  23
8 4 4  56.73  21
8 0 0  45.65  13
7 3 1  43.74  10
7 7 3  60.21  9
4 2 2  27.48  8
9 7 7  80.90  7
9 3 3  57.69  7
5 3 1  33.34  7

Structural model:
Unit cell a=15.8984 b=15.8984 c=15.8984 alpha=90.00 beta=90.00 gamma=90.00
Space group Fm-3m (No. 225)
Inequivalent atoms, fractional coordinates:
Nd1 0.0000 0.0000 0.2131 (multiplicity 24)
Sm1 0.1227 0.1227 0.3773 (multiplicity 32)
Sm2 0.1532 0.1532 0.1532 (multiplicity 32)
Tm1 0.0000 0.0000 0.5000 (multiplicity 4)
Tm2 0.0000 0.2500 0.2500 (multiplicity 24)

[2]
The following is a computed powder XRD pattern of Nd2Sm3Tm6. It was derived from a DFT-relaxed cell (PBE, Alexandria), using λ = 1.5418 Å (Cu Kα).
Neutral-atom scattering factors, no anomalous dispersion.

Principal peaks in the range 10° ≤ 2θ ≤ 90°, by intensity:
(hkl)  Position (°2θ)  intensity
1 3 1  31.03  100
2 0 2  36.06  67
0 0 4  31.28  32
3 3 3  61.72  28
0 6 0  51.75  24
1 3 5  52.08  23
4 0 0  61.57  14
2 0 6  62.02  14
2 6 2  64.69  12
4 6 0  84.52  8

Structural model:
Unit cell a=6.1156 b=10.6065 c=11.6180 alpha=90.00 beta=100.12 gamma=90.00
Space group C2/m (No. 12)
Inequivalent atoms, fractional coordinates:
Nd1 0.0000 0.1667 0.0000 (multiplicity 4)
Sm1 0.0000 0.0000 0.5000 (multiplicity 2)
Sm2 0.0000 0.3357 0.5000 (multiplicity 4)
Tm1 0.2491 0.5000 0.7491 (multiplicity 4)
Tm2 0.2498 0.1666 0.7491 (multiplicity 8)